Computed powder diffraction line list
Compound: YThGeP
Radiation: Cu Kα, 1.54184 Å
Structure: the GGA-PBE geometry in Alexandria
Neutral-atom scattering factors, no anomalous dispersion.

Structural model:
```
YThGeP
1.0
4.1705 0.0000 0.0000
-2.0852 3.6117 0.0000
0.0000 0.0000 20.2833
Y Th Ge P
3 3 3 3
Direct
0.0000 0.0000 0.0000
0.3333 0.6667 0.6667
0.6667 0.3333 0.3333
0.0000 0.0000 0.5041
0.3333 0.6667 0.1707
0.6667 0.3333 0.8374
0.0000 0.0000 0.7498
0.3333 0.6667 0.4165
0.6667 0.3333 0.0832
0.0000 0.0000 0.2534
0.3333 0.6667 0.9200
0.6667 0.3333 0.5867
```

Main lines, in order of rising 2θ (5 to 70 degrees two-theta):
hkl 0 0 3, 13.09 deg, rel. 21.4
hkl 1 0 1, 25.04 deg, rel. 17.8
hkl 0 1 2, 26.19 deg, rel. 34.8
hkl 0 0 6, 26.36 deg, rel. 11.4
hkl 1 0 4, 30.38 deg, rel. 100.0
hkl 1 1 0, 43.39 deg, rel. 37.7
hkl 0 1 8, 43.62 deg, rel. 36.8
hkl 2 0 2, 51.46 deg, rel. 17.5
hkl 0 2 4, 53.89 deg, rel. 19.9
hkl 2 0 8, 63.22 deg, rel. 12.2